Structure and computed powder X-ray diffraction pattern of LiVSiO4 (a DFT-relaxed cell (GGA+U, Alexandria); CuKα).
No peak broadening, texture or thermal motion is included.

Largest 12 diffraction maxima, most intense first, 10° ≤ 2θ ≤ 90°:
| (hkl) | Position (°2θ) | intensity |
| --- | --- | --- |
| 1 0 2 | 23.75 | 100 |
| 1 1 4 | 44.33 | 23 |
| 2 0 6 | 59.45 | 12 |
| 2 1 2 | 53.78 | 11 |
| 1 0 0 | 18.93 | 8 |
| 2 0 0 | 38.39 | 6 |
| 3 1 2 | 74.54 | 5 |
| 1 0 4 | 34.57 | 5 |
| 1 1 0 | 33.09 | 4 |
| 2 2 0 | 69.44 | 4 |
| 2 1 4 | 60.06 | 4 |
| 1 1 8 | 69.64 | 4 |

Crystal structure
Lattice parameters (Å, degrees): 5.4144 5.4144 12.4621 90.00 90.00 120.00
Sites, in units of the cell vectors:
Li (0.0000, 0.0000, 0.0000)
Li (0.0000, 0.0000, 0.3333)
Li (0.0000, 0.0000, 0.6667)
V (0.0000, 0.5000, 0.8333)
V (0.5000, 0.0000, 0.5000)
V (0.5000, 0.5000, 0.1667)
Si (0.0000, 0.5000, 0.3333)
Si (0.5000, 0.0000, 0.0000)
Si (0.5000, 0.5000, 0.6667)
O (0.1833, 0.3945, 0.2607)
O (0.1833, 0.7888, 0.4060)
O (0.2112, 0.3945, 0.7393)
O (0.2112, 0.8167, 0.9273)
O (0.3945, 0.1833, 0.0727)
O (0.3945, 0.2112, 0.5940)
O (0.6055, 0.7888, 0.5940)
O (0.6055, 0.8167, 0.0727)
O (0.7888, 0.1833, 0.9273)
O (0.7888, 0.6055, 0.7393)
O (0.8167, 0.2112, 0.4060)
O (0.8167, 0.6055, 0.2607)